Starting from the PBE+U geometry in the Materials Project, the powder diffraction line list of KMnF3 was simulated for CuKα.

Structural model:
abc: 6.0074 8.4979 6.0332
angles: 90.00 90.00 90.00
Space group Pnma (No. 62)
Inequivalent atoms, fractional coordinates:
K 0.0089 0.2500 0.0020
Mn 0.0000 0.0000 0.5000
F 0.0033 0.7500 0.4565
F 0.2352 0.5225 0.7648

Most intense lines, 2θ = 10–80°, low angle first:
2θ/deg  I/Imax  (hkl)
20.9  29  1 0 1
29.7  100  1 2 1
29.7  20  2 0 0
42.5  80  2 0 2
47.8  10  3 0 1
52.6  25  1 2 3
52.8  23  2 4 0
61.5  7  0 0 4
61.7  35  4 0 0
69.9  9  3 2 3